(1)
This entry pairs a crystal structure of Fe10O11F9 with its calculated XRD peak list. Radiation: λ = 1.5418 Å (Cu Kα). Structure: a PBE+U-relaxed structure.

The 10 most intense peaks (2θ = 10–80°), in order of rising 2θ:
d_spacing	two_theta	I/Imax	hkl
3.478	25.61	100	0 2 0
3.248	27.46	90	2 0 0
2.573	34.87	97	1 1 5
2.298	39.20	18	0 2 5
1.778	51.40	60	1 3 5
1.739	52.63	17	0 4 0
1.716	53.39	24	3 1 -5
1.711	53.56	25	3 1 5
1.407	66.43	19	3 3 -5
1.405	66.58	19	3 3 5

Atomic structure:
Cell: 6.497 6.956 15.308 Å, 90.00 90.19 90.00°
Space group C2 (No. 5)
Symmetry-distinct sites (fractional):
Fe (0.000, 0.000, 0.000) x2
Fe (0.000, 0.476, 0.500) x2
Fe (0.001, 0.504, 0.099) x4
Fe (0.005, 0.009, 0.206) x4
Fe (0.011, 0.473, 0.292) x4
Fe (0.029, 0.023, 0.599) x4
O (0.000, 0.195, 0.500) x2
O (0.004, 0.191, 0.701) x4
O (0.178, 0.500, 0.399) x4
O (0.194, 0.499, 0.806) x4
O (0.195, 0.503, 0.000) x4
O (0.202, 0.499, 0.192) x4
F (0.000, 0.813, 0.500) x2
F (0.003, 0.193, 0.097) x4
F (0.003, 0.811, 0.098) x4
F (0.004, 0.807, 0.699) x4
F (0.209, 0.497, 0.602) x4

(2)
This entry pairs a crystal structure of Fe3O2F4 with its calculated XRD peak list. Radiation: λ = 1.5418 Å (Cu Kα). Structure: a PBE+U-relaxed structure.

The 10 most intense peaks (2θ = 10–80°), in order of rising 2θ:
d_spacing	two_theta	I/Imax	hkl
3.449	25.83	97	1 1 1
3.393	26.26	100	-1 1 1
2.616	34.28	26	0 2 -1
2.608	34.38	25	1 1 -2
2.598	34.53	49	1 -1 2
2.290	39.34	17	1 0 3
1.773	51.54	30	1 1 4
1.763	51.87	41	2 -2 1
1.724	53.11	19	2 2 2
1.546	59.84	17	0 2 -4

Atomic structure:
Cell: 4.828 5.772 7.826 Å, 84.57 89.62 89.08°
Space group P1 (No. 1)
Symmetry-distinct sites (fractional):
Fe (0.000, 0.000, 0.000) x1
Fe (0.005, 0.336, 0.671) x1
Fe (0.074, 0.663, 0.324) x1
Fe (0.471, 0.167, 0.345) x1
Fe (0.501, 0.827, 0.653) x1
Fe (0.520, 0.501, 0.000) x1
O (0.189, 0.715, 0.092) x1
O (0.207, 0.371, 0.443) x1
O (0.311, 0.879, 0.427) x1
O (0.829, 0.286, 0.893) x1
F (0.210, 0.041, 0.770) x1
F (0.308, 0.525, 0.765) x1
F (0.309, 0.194, 0.107) x1
F (0.706, 0.451, 0.245) x1
F (0.712, 0.807, 0.885) x1
F (0.717, 0.141, 0.558) x1
F (0.801, 0.967, 0.231) x1
F (0.830, 0.629, 0.561) x1

(3)
This entry pairs a crystal structure of Fe3O2F4 with its calculated XRD peak list. Radiation: λ = 1.5418 Å (Cu Kα). Structure: a PBE+U-relaxed structure.

The 10 most intense peaks (2θ = 10–80°), in order of rising 2θ:
d_spacing	two_theta	I/Imax	hkl
3.423	26.03	97	1 1 1
3.359	26.54	100	-1 1 1
2.613	34.31	79	0 2 -1
2.606	34.41	28	1 -1 2
2.304	39.10	19	1 2 -1
1.776	51.44	45	1 3 0
1.760	51.97	27	2 0 -3
1.712	53.54	20	2 2 2
1.557	59.35	18	0 2 -4
1.418	65.89	22	3 -1 2

Atomic structure:
Cell: 4.785 5.723 7.873 Å, 85.26 89.47 88.99°
Space group P1 (No. 1)
Symmetry-distinct sites (fractional):
Fe (0.000, 0.000, 0.000) x1
Fe (0.008, 0.311, 0.632) x1
Fe (0.462, 0.850, 0.678) x1
Fe (0.505, 0.490, 0.988) x1
Fe (0.527, 0.169, 0.327) x1
Fe (0.989, 0.653, 0.330) x1
O (0.307, 0.122, 0.554) x1
O (0.311, 0.784, 0.897) x1
O (0.678, 0.206, 0.092) x1
O (0.797, 0.356, 0.432) x1
F (0.195, 0.310, 0.875) x1
F (0.209, 0.621, 0.569) x1
F (0.210, 0.959, 0.239) x1
F (0.302, 0.461, 0.222) x1
F (0.693, 0.860, 0.438) x1
F (0.707, 0.537, 0.756) x1
F (0.793, 0.686, 0.092) x1
F (0.798, 0.039, 0.751) x1

(4)
This entry pairs a crystal structure of Fe5O3F7 with its calculated XRD peak list. Radiation: λ = 1.5418 Å (Cu Kα). Structure: a PBE+U-relaxed structure.

The 10 most intense peaks (2θ = 10–80°), in order of rising 2θ:
d_spacing	two_theta	I/Imax	hkl
3.433	25.96	100	1 1 0
3.347	26.64	95	1 -1 0
2.629	34.10	28	0 1 5
2.618	34.25	52	1 0 5
2.608	34.38	24	0 1 -5
1.775	51.48	29	2 1 -5
1.751	52.24	27	2 -1 5
1.716	53.38	17	2 2 0
1.563	59.10	20	0 0 10
1.422	65.65	19	3 0 5

Atomic structure:
Cell: 4.792 4.796 15.631 Å, 89.50 89.98 88.55°
Space group P1 (No. 1)
Symmetry-distinct sites (fractional):
Fe (0.000, 0.000, 0.000) x1
Fe (0.001, 0.014, 0.794) x1
Fe (0.020, 0.007, 0.388) x1
Fe (0.431, 0.498, 0.300) x1
Fe (0.455, 0.553, 0.893) x1
Fe (0.479, 0.535, 0.693) x1
Fe (0.482, 0.536, 0.497) x1
Fe (0.512, 0.570, 0.089) x1
Fe (0.948, 0.062, 0.594) x1
Fe (0.974, 0.035, 0.194) x1
O (0.167, 0.211, 0.289) x1
O (0.286, 0.713, 0.390) x1
O (0.290, 0.736, 0.989) x1
O (0.300, 0.710, 0.794) x1
O (0.656, 0.357, 0.599) x1
O (0.803, 0.858, 0.099) x1
F (0.163, 0.223, 0.486) x1
F (0.173, 0.243, 0.697) x1
F (0.186, 0.229, 0.904) x1
F (0.189, 0.237, 0.098) x1
F (0.258, 0.753, 0.601) x1
F (0.279, 0.726, 0.200) x1
F (0.671, 0.338, 0.199) x1
F (0.680, 0.331, 0.799) x1
F (0.686, 0.311, 0.383) x1
F (0.700, 0.325, 0.986) x1
F (0.765, 0.840, 0.695) x1
F (0.781, 0.823, 0.290) x1
F (0.789, 0.829, 0.899) x1
F (0.789, 0.853, 0.484) x1

(5)
This entry pairs a crystal structure of Fe3O5F with its calculated XRD peak list. Radiation: λ = 1.5418 Å (Cu Kα). Structure: a PBE+U-relaxed structure.

The 10 most intense peaks (2θ = 10–80°), in order of rising 2θ:
d_spacing	two_theta	I/Imax	hkl
3.351	26.60	94	0 6 0
3.213	27.76	94	2 0 0
2.530	35.48	100	1 3 1
2.319	38.83	19	2 6 0
1.729	52.95	55	1 9 1
1.690	54.26	54	3 3 1
1.675	54.79	16	0 12 0
1.607	57.35	15	4 0 0
1.509	61.44	16	0 0 2
1.376	68.14	48	3 9 1

Atomic structure:
Cell: 6.427 20.107 3.018 Å, 90.00 90.00 90.00°
Space group Cmmm (No. 65)
Symmetry-distinct sites (fractional):
Fe (0.000, 0.000, 0.000) x2
Fe (0.000, 0.164, 0.500) x4
Fe (0.000, 0.323, 0.000) x4
Fe (0.000, 0.500, 0.500) x2
O (0.000, 0.062, 0.500) x4
O (0.000, 0.265, 0.500) x4
O (0.188, 0.500, 0.000) x4
O (0.194, 0.165, 0.000) x8
F (0.000, 0.396, 0.500) x4

(6)
This entry pairs a crystal structure of Fe4O7F with its calculated XRD peak list. Radiation: λ = 1.5418 Å (Cu Kα). Structure: a PBE+U-relaxed structure.

The 10 most intense peaks (2θ = 10–80°), in order of rising 2θ:
d_spacing	two_theta	I/Imax	hkl
3.280	27.19	100	0 1 2
2.520	35.62	52	2 0 1
2.319	38.83	10	0 0 4
2.215	40.74	13	2 1 1
1.707	53.69	43	2 1 3
1.705	53.78	15	2 1 -5
1.640	56.09	16	0 2 4
1.501	61.80	8	4 0 -2
1.375	68.20	15	2 0 5
1.365	68.78	11	4 1 -4

Atomic structure:
Cell: 6.005 4.642 9.736 Å, 90.00 107.85 90.00°
Space group P2_1 (No. 4)
Symmetry-distinct sites (fractional):
Fe (0.059, 0.000, 0.370) x2
Fe (0.179, 0.520, 0.120) x2
Fe (0.309, 0.014, 0.882) x2
Fe (0.431, 0.475, 0.618) x2
O (0.016, 0.819, 0.782) x2
O (0.116, 0.215, 0.978) x2
O (0.140, 0.681, 0.530) x2
O (0.236, 0.307, 0.721) x2
O (0.266, 0.806, 0.277) x2
O (0.359, 0.177, 0.466) x2
O (0.391, 0.699, 0.030) x2
F (0.489, 0.306, 0.224) x2

(7)
This entry pairs a crystal structure of Fe3O5F with its calculated XRD peak list. Radiation: λ = 1.5418 Å (Cu Kα). Structure: a PBE+U-relaxed structure.

The 10 most intense peaks (2θ = 10–80°), in order of rising 2θ:
d_spacing	two_theta	I/Imax	hkl
3.344	26.65	100	1 1 1
3.212	27.77	96	-1 1 1
2.540	35.33	52	0 0 3
2.524	35.56	52	0 2 -1
2.317	38.87	20	2 0 0
1.736	52.73	30	1 1 4
1.721	53.23	31	1 3 0
1.691	54.25	28	2 0 -3
1.672	54.90	17	2 2 2
1.512	61.31	16	0 2 -4

Atomic structure:
Cell: 4.638 5.511 7.656 Å, 85.45 88.39 88.20°
Space group P-1 (No. 2)
Symmetry-distinct sites (fractional):
Fe (0.000, 0.000, 0.000) x1
Fe (0.001, 0.665, 0.331) x2
Fe (0.483, 0.830, 0.654) x2
Fe (0.500, 0.500, 0.000) x1
O (0.190, 0.701, 0.097) x2
O (0.194, 0.040, 0.773) x2
O (0.194, 0.372, 0.436) x2
O (0.305, 0.877, 0.427) x2
O (0.312, 0.542, 0.773) x2
F (0.305, 0.196, 0.104) x2

(8)
This entry pairs a crystal structure of Fe6O7F6 with its calculated XRD peak list. Radiation: λ = 1.5418 Å (Cu Kα). Structure: a PBE+U-relaxed structure.

The 10 most intense peaks (2θ = 10–80°), in order of rising 2θ:
d_spacing	two_theta	I/Imax	hkl
7.517	11.77	100	2 0 0
6.428	13.78	56	2 0 -1
3.709	23.99	43	1 1 0
3.072	29.07	19	2 0 -3
3.042	29.36	19	3 1 0
2.986	29.92	20	3 1 -1
2.708	33.08	21	4 0 2
2.159	41.84	23	4 0 -4
2.064	43.87	17	6 0 2
1.914	47.52	19	0 2 0

Atomic structure:
Cell: 15.267 3.827 9.486 Å, 90.00 100.01 90.00°
Space group C2/m (No. 12)
Symmetry-distinct sites (fractional):
Fe (0.112, 0.000, 0.096) x4
Fe (0.173, 0.000, 0.432) x4
Fe (0.238, 0.000, 0.767) x4
O (0.000, 0.000, 0.000) x2
O (0.141, 0.500, 0.114) x4
O (0.206, 0.500, 0.423) x4
O (0.232, 0.000, 0.236) x4
F (0.068, 0.000, 0.291) x4
F (0.128, 0.000, 0.614) x4
F (0.167, 0.000, 0.915) x4

(9)
This entry pairs a crystal structure of Fe4OF7 with its calculated XRD peak list. Radiation: λ = 1.5418 Å (Cu Kα). Structure: a PBE+U-relaxed structure.

The 10 most intense peaks (2θ = 10–80°), in order of rising 2θ:
d_spacing	two_theta	I/Imax	hkl
3.404	26.18	100	2 2 -1
2.691	33.29	55	4 0 0
2.407	37.35	8	0 4 0
2.349	38.32	20	0 2 2
1.795	50.87	49	0 4 2
1.792	50.96	16	2 2 -3
1.702	53.86	19	4 4 -2
1.623	56.72	10	4 0 2
1.523	60.84	10	2 6 -1
1.439	64.78	18	2 6 1

Atomic structure:
Cell: 11.627 9.630 5.799 Å, 90.00 112.02 90.00°
Space group Cc (No. 9)
Symmetry-distinct sites (fractional):
Fe (0.000, 0.125, 0.000) x4
Fe (0.252, 0.130, 0.518) x4
Fe (0.252, 0.373, 0.986) x4
Fe (0.487, 0.135, 0.989) x4
O (0.336, 0.222, 0.864) x4
F (0.068, 0.278, 0.833) x4
F (0.076, 0.229, 0.350) x4
F (0.163, 0.470, 0.638) x4
F (0.176, 0.029, 0.159) x4
F (0.321, 0.281, 0.344) x4
F (0.424, 0.480, 0.155) x4
F (0.435, 0.028, 0.657) x4

(10)
This entry pairs a crystal structure of Fe5O8F2 with its calculated XRD peak list. Radiation: λ = 1.5418 Å (Cu Kα). Structure: a PBE+U-relaxed structure.

The 10 most intense peaks (2θ = 10–80°), in order of rising 2θ:
d_spacing	two_theta	I/Imax	hkl
3.339	26.70	97	1 1 2
3.248	27.46	96	-1 1 2
2.528	35.52	100	0 1 -3
2.328	38.68	19	0 2 4
1.725	53.08	56	1 4 3
1.700	53.94	55	1 0 -5
1.624	56.68	15	-2 2 4
1.505	61.64	16	0 4 -2
1.380	67.91	19	3 2 -1
1.379	68.00	19	0 1 7

Atomic structure:
Cell: 4.661 7.607 9.785 Å, 70.22 88.51 88.99°
Space group P1 (No. 1)
Symmetry-distinct sites (fractional):
Fe (0.000, 0.000, 0.000) x1
Fe (0.001, 0.602, 0.201) x1
Fe (0.013, 0.206, 0.397) x1
Fe (0.039, 0.393, 0.803) x1
Fe (0.047, 0.810, 0.598) x1
Fe (0.496, 0.705, 0.908) x1
Fe (0.525, 0.314, 0.100) x1
Fe (0.538, 0.095, 0.711) x1
Fe (0.552, 0.913, 0.314) x1
Fe (0.556, 0.508, 0.517) x1
O (0.201, 0.767, 0.033) x1
O (0.209, 0.370, 0.225) x1
O (0.220, 0.151, 0.831) x1
O (0.226, 0.564, 0.628) x1
O (0.231, 0.978, 0.422) x1
O (0.328, 0.469, 0.924) x1
O (0.335, 0.859, 0.730) x1
O (0.700, 0.555, 0.074) x1
O (0.707, 0.925, 0.887) x1
O (0.714, 0.157, 0.273) x1
O (0.725, 0.332, 0.688) x1
O (0.734, 0.747, 0.485) x1
O (0.830, 0.237, 0.982) x1
O (0.831, 0.845, 0.185) x1
O (0.834, 0.445, 0.382) x1
O (0.841, 0.048, 0.579) x1
F (0.326, 0.065, 0.127) x1
F (0.336, 0.268, 0.526) x1
F (0.338, 0.668, 0.330) x1
F (0.830, 0.640, 0.782) x1